# 1
The following is a calculated powder diffractogram of TlCoBi. It was derived from a cell relaxed with PBE, using Cu Ka.

Most intense lines, 5 to 70 degrees two-theta, in order of rising 2θ:
4.007 Å, intensity 65.1; 3.470 Å, intensity 1.8; 2.454 Å, intensity 100.0; 2.093 Å, intensity 35.9; 1.735 Å, intensity 17.7; 1.592 Å, intensity 15.6; 1.552 Å, intensity 0.5; 1.417 Å, intensity 36.5

Atomic structure:
```
TlCoBi
1.0
0.000 3.470 3.470
3.470 0.000 3.470
3.470 3.470 0.000
Tl Co Bi
1 1 1
direct
0.000 0.000 0.000
0.500 0.500 0.500
0.250 0.250 0.250
```

# 2
The following is a calculated powder diffractogram of Tm6CoBi2. It was derived from a cell relaxed with PBE, using Cu Ka.

Most intense lines, 5 to 70 degrees two-theta, in order of rising 2θ:
2.896 Å, intensity 100.0; 2.706 Å, intensity 57.6; 2.684 Å, intensity 53.6; 2.387 Å, intensity 32.7; 2.251 Å, intensity 35.1; 2.029 Å, intensity 20.4; 1.784 Å, intensity 12.3; 1.623 Å, intensity 25.3; 1.562 Å, intensity 9.8; 1.546 Å, intensity 17.3; 1.523 Å, intensity 22.1; 1.458 Å, intensity 22.0

Atomic structure:
```
Tm6CoBi2
1.0
8.267 0.000 0.000
-4.134 7.160 0.000
0.000 0.000 4.057
Tm Co Bi
6 1 2
direct
0.000 0.390 0.000
0.000 0.769 0.500
0.231 0.231 0.500
0.390 0.000 0.000
0.610 0.610 0.000
0.769 0.000 0.500
0.000 0.000 0.000
0.333 0.667 0.500
0.667 0.333 0.500
```

# 3
The following is a calculated powder diffractogram of CrBi. It was derived from a cell relaxed with PBE, using Cu Ka.

Most intense lines, 5 to 70 degrees two-theta, in order of rising 2θ:
3.782 Å, intensity 41.6; 3.608 Å, intensity 100.0; 3.265 Å, intensity 40.1; 2.559 Å, intensity 38.8; 2.549 Å, intensity 16.4; 2.470 Å, intensity 43.9; 2.424 Å, intensity 52.0; 2.416 Å, intensity 38.7; 2.352 Å, intensity 19.8; 2.149 Å, intensity 35.7; 2.053 Å, intensity 22.5; 1.661 Å, intensity 15.2

Atomic structure:
```
CrBi
1.0
4.106 0.000 0.000
0.000 7.565 0.000
-0.026 0.000 6.525
Cr Bi
4 4
direct
0.227 0.073 0.176
0.227 0.427 0.676
0.773 0.573 0.324
0.773 0.927 0.824
0.272 0.713 0.033
0.272 0.787 0.533
0.728 0.213 0.467
0.728 0.287 0.967
```

# 4
The following is a calculated powder diffractogram of Mg6CrBi. It was derived from a cell relaxed with PBE, using Cu Ka.

Most intense lines, 5 to 70 degrees two-theta, in order of rising 2θ:
5.508 Å, intensity 100.0; 5.207 Å, intensity 45.3; 3.784 Å, intensity 91.0; 2.748 Å, intensity 33.9; 2.711 Å, intensity 38.3; 2.604 Å, intensity 33.0; 2.438 Å, intensity 44.8; 2.431 Å, intensity 88.0; 2.354 Å, intensity 25.5; 1.933 Å, intensity 21.0; 1.891 Å, intensity 34.0; 1.468 Å, intensity 30.5

Atomic structure:
```
Mg6CrBi
1.0
5.207 0.000 0.000
0.000 3.170 5.518
0.000 -3.170 5.518
Mg Cr Bi
6 1 1
direct
0.000 0.000 0.000
0.000 0.005 0.484
0.000 0.484 0.005
0.000 0.493 0.493
0.500 0.329 0.828
0.500 0.828 0.329
0.500 0.329 0.329
0.500 0.830 0.830
```

# 5
The following is a calculated powder diffractogram of Mg6CrBi. It was derived from a cell relaxed with PBE, using Cu Ka.

Most intense lines, 5 to 70 degrees two-theta, in order of rising 2θ:
5.557 Å, intensity 100.0; 5.501 Å, intensity 34.9; 5.128 Å, intensity 25.0; 3.768 Å, intensity 63.5; 3.751 Å, intensity 42.9; 2.778 Å, intensity 32.2; 2.706 Å, intensity 41.4; 2.564 Å, intensity 35.4; 2.443 Å, intensity 94.8; 2.424 Å, intensity 48.7; 2.327 Å, intensity 32.4; 1.884 Å, intensity 21.0

Atomic structure:
```
Mg6CrBi
1.0
5.128 0.000 0.000
0.000 3.219 5.501
0.000 -3.219 5.501
Mg Cr Bi
6 1 1
direct
0.000 0.000 0.000
0.000 0.506 0.986
0.000 0.986 0.506
0.500 0.334 0.827
0.500 0.827 0.334
0.500 0.834 0.834
0.000 0.503 0.503
0.500 0.337 0.337
```

# 6
The following is a calculated powder diffractogram of CrBi2N3. It was derived from a cell relaxed with PBE, using Cu Ka.

Most intense lines, 5 to 70 degrees two-theta, in order of rising 2θ:
6.263 Å, intensity 48.0; 4.022 Å, intensity 51.8; 3.886 Å, intensity 35.0; 3.287 Å, intensity 29.6; 3.175 Å, intensity 38.1; 3.133 Å, intensity 29.6; 2.941 Å, intensity 55.2; 2.891 Å, intensity 100.0; 2.839 Å, intensity 75.6; 2.826 Å, intensity 84.2; 2.305 Å, intensity 40.5; 2.038 Å, intensity 37.7

Atomic structure:
```
CrBi2N3
1.0
2.828 -5.882 0.000
2.828 5.882 0.000
-0.490 0.000 12.526
Cr Bi N
4 8 12
direct
0.191 0.278 0.169
0.278 0.191 0.669
0.722 0.809 0.331
0.809 0.722 0.831
0.107 0.413 0.882
0.137 0.393 0.440
0.393 0.137 0.940
0.413 0.107 0.382
0.587 0.893 0.618
0.607 0.863 0.060
0.863 0.607 0.560
0.893 0.587 0.118
0.051 0.216 0.609
0.088 0.912 0.750
0.143 0.451 0.068
0.216 0.051 0.109
0.451 0.143 0.568
0.470 0.530 0.250
0.530 0.470 0.750
0.549 0.857 0.432
0.784 0.949 0.891
0.857 0.549 0.932
0.912 0.088 0.250
0.949 0.784 0.391
```

# 7
The following is a calculated powder diffractogram of Ti4CrBi2. It was derived from a cell relaxed with PBE, using Cu Ka.

Most intense lines, 5 to 70 degrees two-theta, in order of rising 2θ:
3.461 Å, intensity 100.0; 3.341 Å, intensity 29.2; 2.641 Å, intensity 23.3; 2.540 Å, intensity 82.0; 2.490 Å, intensity 10.8; 2.288 Å, intensity 31.0; 1.867 Å, intensity 10.8; 1.831 Å, intensity 53.7; 1.779 Å, intensity 15.6; 1.643 Å, intensity 10.9; 1.595 Å, intensity 11.8; 1.387 Å, intensity 11.1

Atomic structure:
```
Ti4CrBi2
1.0
-5.282 5.282 2.542
5.282 -5.282 2.542
5.282 5.282 -2.542
Ti Cr Bi
8 2 4
direct
0.080 0.808 0.888
0.192 0.080 0.272
0.308 0.580 0.888
0.420 0.308 0.728
0.580 0.692 0.272
0.692 0.420 0.112
0.808 0.920 0.728
0.920 0.192 0.112
0.250 0.250 0.000
0.750 0.750 0.000
0.139 0.361 0.500
0.361 0.861 0.222
0.639 0.139 0.778
0.861 0.639 0.500
```

# 8
The following is a calculated powder diffractogram of Cs3Bi. It was derived from a cell relaxed with PBE, using Cu Ka.

Most intense lines, 5 to 70 degrees two-theta, in order of rising 2θ:
5.506 Å, intensity 3.1; 4.768 Å, intensity 1.7; 3.371 Å, intensity 100.0; 2.875 Å, intensity 2.2; 2.384 Å, intensity 19.5; 2.188 Å, intensity 1.1; 2.132 Å, intensity 1.0; 1.947 Å, intensity 42.6; 1.686 Å, intensity 13.6; 1.612 Å, intensity 0.9; 1.508 Å, intensity 18.9; 1.376 Å, intensity 4.7

Atomic structure:
```
Cs3Bi
1.0
0.000 4.768 4.768
4.768 0.000 4.768
4.768 4.768 0.000
Cs Bi
3 1
direct
0.000 0.000 0.000
0.250 0.250 0.250
0.750 0.750 0.750
0.500 0.500 0.500
```